# Sb8Pb3S15
Theoretical X-ray powder pattern, copper Kα. Input: the GGA-PBE geometry in the Materials Project.
No peak broadening, texture or thermal motion is included.

Crystal structure
```
data_Sb8Pb3S15
_chemical_formula_sum 'Sb32 Pb12 S60'
_symmetry_space_group_name_H-M 'C 1 2/c 1'
_symmetry_Int_Tables_number 15
_symmetry_space_group_name_Hall '-C 2yc'
_cell_length_a 13.591
_cell_length_b 11.731
_cell_length_c 18.197
_cell_angle_alpha 90.00
_cell_angle_beta 95.86
_cell_angle_gamma 90.00
loop_
_atom_site_label
_atom_site_fract_x
_atom_site_fract_y
_atom_site_fract_z
_atom_site_occupancy
Sb1 0.089 0.051 0.427 1
Sb2 0.093 0.318 0.842 1
Sb3 0.130 0.366 0.499 1
Sb4 0.139 0.257 0.065 1
Pb1 0.000 0.375 0.250 1
Pb2 0.190 0.072 0.662 1
S1 0.000 0.184 0.750 1
S2 0.028 0.422 0.089 1
S3 0.030 0.141 0.537 1
S4 0.065 0.131 0.158 1
S5 0.145 0.455 0.751 1
S6 0.189 0.239 0.403 1
S7 0.229 0.175 0.837 1
S8 0.236 0.470 0.963 1
```

Peak list (12 most intense, 15 to 90 degrees two-theta, in order of rising 2θ)
two_theta  d (Å)  intensity  (hkl)
21.4  4.144  84  1 1 -4
24.1  3.697  55  1 3 -1
24.2  3.683  39  3 1 2
25.7  3.462  59  2 2 3
26.0  3.433  36  1 1 -5
27.0  3.306  59  3 1 3
27.2  3.277  100  4 0 -2
30.3  2.946  97  3 3 -1
30.8  2.900  62  2 2 -5
31.2  2.865  50  3 3 -2
41.9  2.158  30  1 1 8
42.1  2.146  54  1 5 3